Calculated powder XRD pattern of GdCoB4 for λ = 1.5418 Å (Cu Kα), from a crystal structure in OQMD, relaxed with PBE.

The 10 most intense peaks (2θ from 15° to 90°), most intense first:
41.17°, I 100
31.24°, I 91
26.14°, I 65
38.52°, I 45
27.81°, I 28
63.50°, I 27
44.04°, I 23
47.13°, I 21
21.60°, I 21
34.15°, I 19

Structural model:
Unit cell a=5.913 b=11.458 c=3.410 alpha=90.00 beta=90.00 gamma=90.00
Sites, in units of the cell vectors:
Gd1 0.128 0.150 0.000
Gd2 0.372 0.650 0.000
Gd3 0.628 0.350 0.000
Gd4 0.872 0.850 0.000
Co1 0.135 0.411 0.000
Co2 0.365 0.911 0.000
Co3 0.635 0.089 0.000
Co4 0.865 0.589 0.000
B1 0.022 0.690 0.500
B2 0.111 0.546 0.500
B3 0.140 0.967 0.500
B4 0.219 0.816 0.500
B5 0.281 0.316 0.500
B6 0.360 0.467 0.500
B7 0.389 0.046 0.500
B8 0.478 0.190 0.500
B9 0.522 0.810 0.500
B10 0.611 0.954 0.500
B11 0.640 0.533 0.500
B12 0.719 0.684 0.500
B13 0.781 0.184 0.500
B14 0.860 0.033 0.500
B15 0.889 0.454 0.500
B16 0.978 0.310 0.500


Calculated powder XRD pattern of GdZrSc2Sb2 for λ = 1.5418 Å (Cu Kα), from a crystal structure in OQMD, relaxed with PBE.

The 10 most intense peaks (2θ from 15° to 90°), most intense first:
37.31°, I 100
29.84°, I 96
34.80°, I 79
42.71°, I 75
31.85°, I 74
56.23°, I 39
33.08°, I 34
21.88°, I 31
55.06°, I 30
82.90°, I 28

Structural model:
Unit cell a=4.234 b=4.234 c=16.246 alpha=90.00 beta=90.00 gamma=90.00
Sites, in units of the cell vectors:
Gd1 0.000 0.000 0.000
Gd2 0.500 0.500 0.500
Zr1 0.000 0.000 0.354
Zr2 0.500 0.500 0.854
Sc1 0.000 0.500 0.183
Sc2 0.000 0.500 0.683
Sc3 0.500 0.000 0.183
Sc4 0.500 0.000 0.683
Sb1 0.000 0.000 0.547
Sb2 0.000 0.000 0.813
Sb3 0.500 0.500 0.047
Sb4 0.500 0.500 0.313


Calculated powder XRD pattern of Zr2Ga3Mo4C3 for λ = 1.5418 Å (Cu Kα), from a crystal structure in OQMD, relaxed with PBE.

The 10 most intense peaks (2θ from 15° to 90°), most intense first:
38.63°, I 100
38.93°, I 48
40.54°, I 31
32.85°, I 29
58.60°, I 15
33.50°, I 8
58.78°, I 8
72.86°, I 7
72.38°, I 7
39.83°, I 6

Structural model:
Unit cell a=5.448 b=5.448 c=13.754 alpha=101.94 beta=101.94 gamma=60.17
Sites, in units of the cell vectors:
Zr1 0.038 0.872 0.609
Zr2 0.128 0.962 0.891
Zr3 0.872 0.038 0.109
Zr4 0.962 0.128 0.391
Ga1 0.086 0.358 0.750
Ga2 0.358 0.086 0.250
Ga3 0.471 0.529 0.250
Ga4 0.529 0.471 0.750
Ga5 0.642 0.914 0.750
Ga6 0.914 0.642 0.250
Mo1 0.195 0.357 0.080
Mo2 0.303 0.476 0.420
Mo3 0.357 0.195 0.580
Mo4 0.476 0.303 0.920
Mo5 0.524 0.697 0.080
Mo6 0.643 0.805 0.420
Mo7 0.697 0.524 0.580
Mo8 0.805 0.643 0.920
C1 0.000 0.500 0.500
C2 0.164 0.671 0.000
C3 0.329 0.836 0.500
C4 0.500 0.000 0.000
C5 0.671 0.164 0.500
C6 0.836 0.329 0.000


Calculated powder XRD pattern of Ba2AgBi2Au for λ = 1.5418 Å (Cu Kα), from a crystal structure in OQMD, relaxed with PBE.

The 10 most intense peaks (2θ from 15° to 90°), most intense first:
28.08°, I 100
36.15°, I 64
53.61°, I 41
46.39°, I 26
60.19°, I 24
18.83°, I 22
41.07°, I 20
38.20°, I 18
77.99°, I 14
65.02°, I 12

Structural model:
Unit cell a=4.969 b=4.969 c=9.423 alpha=90.00 beta=90.00 gamma=120.00
Sites, in units of the cell vectors:
Ba1 0.000 0.000 0.000
Ba2 0.000 0.000 0.499
Ag1 0.333 0.667 0.752
Bi1 0.333 0.667 0.247
Bi2 0.667 0.333 0.747
Au1 0.667 0.333 0.252